1.
This entry pairs a crystal structure of NaMg14Sn with its theoretical X-ray diffraction stick pattern. Radiation: Cu Kα (weighted mean of Kα1 and Kα2). Structure: a cell relaxed with PBE.
Neutral-atom scattering factors, no anomalous dispersion.

Crystal structure
```
16
Lattice="6.369 0.000 0.000 -3.184 5.515 0.000 0.000 0.000 10.673" Properties=species:S:1:pos:R:3 pbc="T T T"
Na 0.000 0.000 0.000
Mg -1.581 2.764 0.000
Mg 0.000 1.854 2.673
Mg 0.000 1.854 8.000
Mg -1.579 4.589 2.673
Mg -1.579 4.589 8.000
Mg 1.581 2.764 0.000
Mg 0.000 5.502 0.000
Mg 3.184 0.007 5.337
Mg 1.598 2.754 5.337
Mg 1.579 4.589 2.673
Mg 1.579 4.589 8.000
Mg 3.184 1.838 2.644
Mg 3.184 1.838 8.029
Mg 4.770 2.754 5.337
Sn 0.000 0.000 5.337
```

Top 10 peaks for 2θ from 10° to 90°, low angle first:
two_theta, I (rel.)
16.07, 15.8
18.10, 27.5
32.47, 25.5
33.58, 34.2
36.68, 100.0
47.41, 17.3
57.92, 16.8
62.09, 20.6
68.64, 20.7
70.56, 17.6

2.
This entry pairs a crystal structure of LiCu3O4 with its theoretical X-ray diffraction stick pattern. Radiation: Cu Kα (weighted mean of Kα1 and Kα2). Structure: a cell relaxed with PBE.
Neutral-atom scattering factors, no anomalous dispersion.

Crystal structure
```
16
Lattice="4.208 -3.873 0.000 4.208 3.873 0.000 -4.208 0.000 4.821" Properties=species:S:1:pos:R:3 pbc="T T T"
Li 0.000 0.000 0.000
Li -2.104 0.000 2.410
Cu 2.104 1.936 0.000
Cu 0.000 1.936 2.410
Cu 2.104 -1.936 0.000
Cu 0.000 -1.936 2.410
Cu 4.208 0.000 0.000
Cu 2.104 0.000 2.410
O -0.245 1.851 4.350
O 0.198 0.011 2.202
O -1.906 -0.011 4.612
O 2.349 1.851 2.880
O 1.859 -1.851 1.940
O 6.114 0.011 0.209
O 4.010 -0.011 2.619
O 4.453 -1.851 0.470
```

Top 10 peaks for 2θ from 10° to 90°, low angle first:
two_theta, I (rel.)
18.08, 52.7
31.97, 23.2
36.63, 100.0
37.31, 60.6
42.99, 43.3
46.92, 35.8
58.20, 27.7
61.42, 24.3
66.84, 25.0
77.89, 21.2

3.
This entry pairs a crystal structure of NaTl2GaF6 with its theoretical X-ray diffraction stick pattern. Radiation: Cu Kα (weighted mean of Kα1 and Kα2). Structure: a cell relaxed with PBE.
Neutral-atom scattering factors, no anomalous dispersion.

Crystal structure
```
10
Lattice="0.000 4.283 4.283 4.283 0.000 4.283 4.283 4.283 0.000" Properties=species:S:1:pos:R:3 pbc="T T T"
Na 0.000 0.000 0.000
Tl 2.142 2.142 2.142
Tl 6.425 6.425 6.425
Ga 4.283 4.283 4.283
F 4.283 4.283 2.344
F 4.283 2.344 4.283
F 6.222 4.283 4.283
F 2.344 4.283 4.283
F 4.283 6.222 4.283
F 4.283 4.283 6.222
```

Top 10 peaks for 2θ from 10° to 90°, low angle first:
two_theta, I (rel.)
20.74, 35.9
29.49, 100.0
36.33, 31.3
42.20, 33.0
47.46, 19.2
52.32, 41.0
61.20, 20.6
69.38, 19.1
73.30, 10.6
84.66, 22.4

4.
This entry pairs a crystal structure of MgSi with its theoretical X-ray diffraction stick pattern. Radiation: Cu Kα (weighted mean of Kα1 and Kα2). Structure: a cell relaxed with PBE.
Neutral-atom scattering factors, no anomalous dispersion.

Crystal structure
```
12
Lattice="4.564 0.000 0.000 0.629 5.368 0.000 1.320 0.924 9.265" Properties=species:S:1:pos:R:3 pbc="T T T"
Mg 1.254 0.752 1.008
Mg 2.372 2.929 7.201
Mg 1.895 2.228 3.875
Mg 4.617 4.064 5.389
Mg 4.141 3.363 2.064
Mg 5.258 5.541 8.257
Si 2.504 5.644 6.133
Si 2.311 4.881 3.767
Si 1.860 3.442 0.574
Si 4.652 2.851 8.691
Si 4.202 1.412 5.498
Si 4.008 0.648 3.132
```

Top 10 peaks for 2θ from 10° to 90°, low angle first:
two_theta, I (rel.)
19.99, 15.9
33.00, 100.0
33.93, 22.4
37.13, 64.3
37.39, 64.1
40.12, 80.1
40.18, 55.2
40.80, 14.4
42.41, 51.9
50.83, 21.3

5.
This entry pairs a crystal structure of Be3P2H4O10 with its theoretical X-ray diffraction stick pattern. Radiation: Cu Kα (weighted mean of Kα1 and Kα2). Structure: a cell relaxed with PBE.
Neutral-atom scattering factors, no anomalous dispersion.

Crystal structure
```
38
Lattice="8.086 -2.312 0.000 8.086 2.312 0.000 -0.811 0.000 9.612" Properties=species:S:1:pos:R:3 pbc="T T T"
Be 7.477 1.441 7.209
Be 3.878 0.210 1.514
Be 3.472 -0.210 6.321
Be 11.889 0.210 3.292
Be 11.483 -0.210 8.098
Be 7.883 -1.441 2.403
P 2.196 0.195 3.794
P 1.790 -0.195 8.600
P 13.570 0.195 1.012
P 13.164 -0.195 5.818
H 5.874 0.804 8.692
H 6.763 0.450 2.993
H 9.081 0.804 5.727
H 9.003 0.450 1.813
H 6.357 -0.450 7.799
H 6.280 -0.804 3.885
H 8.598 -0.450 6.619
H 9.486 -0.804 0.921
O 0.407 0.090 7.999
O 0.813 -0.090 3.193
O 2.673 0.376 0.421
O 2.881 0.550 7.699
O 4.733 0.628 5.848
O 2.267 -0.376 5.227
O 3.287 -0.550 2.893
O 6.647 0.391 8.212
O 5.139 -0.628 1.042
O 8.308 0.391 6.206
O 7.052 -0.391 3.406
O 10.222 0.628 8.570
O 8.714 -0.391 1.400
O 12.073 0.550 6.720
O 13.093 0.376 4.385
O 10.627 -0.628 3.764
O 12.479 -0.550 1.913
O 12.687 -0.376 9.191
O 14.548 0.090 6.419
O 14.953 -0.090 1.613
```

Top 10 peaks for 2θ from 10° to 90°, low angle first:
two_theta, I (rel.)
10.98, 100.0
19.98, 47.7
20.71, 97.6
22.29, 37.0
25.42, 96.9
30.12, 72.9
30.74, 63.7
36.95, 30.0
38.96, 26.6
49.42, 24.6

6.
This entry pairs a crystal structure of CaGd2BeO5 with its theoretical X-ray diffraction stick pattern. Radiation: Cu Kα (weighted mean of Kα1 and Kα2). Structure: a cell relaxed with PBE.
Neutral-atom scattering factors, no anomalous dispersion.

Crystal structure
```
36
Lattice="9.367 0.000 0.000 0.000 6.427 0.000 0.000 0.000 7.060" Properties=species:S:1:pos:R:3 pbc="T T T"
Ca 1.652 0.518 0.000
Ca 3.032 3.731 3.530
Ca 6.336 2.696 0.000
Ca 7.715 5.910 3.530
Gd 0.205 3.832 5.395
Gd 1.626 0.462 3.856
Gd 3.058 3.675 0.326
Gd 4.478 0.619 1.865
Gd 4.889 5.809 5.395
Gd 6.309 2.752 3.856
Gd 7.742 5.966 0.326
Gd 9.162 2.595 1.865
Be 0.967 5.180 1.883
Be 3.717 1.966 5.413
Be 5.650 4.461 1.883
Be 8.401 1.247 5.413
O 0.090 0.131 1.894
O 0.679 4.392 0.515
O 0.680 4.449 3.271
O 2.071 2.321 5.418
O 2.089 2.158 1.876
O 2.595 5.372 5.406
O 2.613 5.534 1.888
O 4.004 1.178 4.045
O 4.003 1.236 6.801
O 4.593 3.345 5.424
O 4.774 3.082 1.894
O 5.364 5.192 3.271
O 5.363 5.249 0.515
O 6.754 0.893 5.418
O 6.773 1.056 1.876
O 7.278 4.269 5.406
O 7.297 4.107 1.888
O 8.687 1.978 6.801
O 8.688 2.035 4.045
O 9.277 6.296 5.424
```

Top 10 peaks for 2θ from 10° to 90°, low angle first:
two_theta, I (rel.)
20.96, 60.5
22.78, 34.9
26.72, 34.9
30.43, 99.9
31.74, 73.0
31.86, 100.0
32.06, 63.3
39.11, 38.2
41.04, 32.1
46.56, 34.4

7.
This entry pairs a crystal structure of CeSiPt3 with its theoretical X-ray diffraction stick pattern. Radiation: Cu Kα (weighted mean of Kα1 and Kα2). Structure: a cell relaxed with PBE.
Neutral-atom scattering factors, no anomalous dispersion.

Crystal structure
```
5
Lattice="4.068 0.000 0.000 0.000 4.068 0.000 0.000 0.000 5.553" Properties=species:S:1:pos:R:3 pbc="T T T"
Ce 0.000 0.000 0.000
Si 2.034 2.034 1.529
Pt 0.000 2.034 2.815
Pt 2.034 0.000 2.815
Pt 2.034 2.034 4.770
```

Top 10 peaks for 2θ from 10° to 90°, low angle first:
two_theta, I (rel.)
15.96, 13.5
32.24, 17.5
35.14, 100.0
39.29, 14.2
44.55, 34.2
45.40, 17.4
56.05, 14.9
60.88, 7.9
64.83, 11.3
75.93, 21.9

8.
This entry pairs a crystal structure of MgNi4Sb4S4 with its theoretical X-ray diffraction stick pattern. Radiation: Cu Kα (weighted mean of Kα1 and Kα2). Structure: a cell relaxed with PBE.
Neutral-atom scattering factors, no anomalous dispersion.

Crystal structure
```
13
Lattice="6.250 0.000 0.000 0.792 6.208 0.000 0.829 0.712 6.179" Properties=species:S:1:pos:R:3 pbc="T T T"
Mg 0.000 0.000 0.000
Ni 2.961 5.231 2.043
Ni 2.981 2.573 4.995
Ni 6.144 5.378 4.817
Ni 5.600 2.262 2.016
Sb 1.784 1.531 1.395
Sb 3.832 4.838 5.804
Sb 5.319 6.090 2.496
Sb 6.744 2.971 4.172
S 2.063 5.790 4.020
S 3.546 3.096 2.782
S 4.867 1.409 5.306
S 6.003 4.105 0.806
```

Top 10 peaks for 2θ from 10° to 90°, low angle first:
two_theta, I (rel.)
19.15, 39.0
21.51, 60.1
28.93, 45.4
30.86, 100.0
30.97, 50.8
31.97, 35.3
33.95, 81.5
36.31, 40.3
37.72, 57.0
50.07, 31.2

What did the first record say?
This entry pairs a crystal structure of NaMg14Sn with its theoretical X-ray diffraction stick pattern. Radiation: Cu Kα (weighted mean of Kα1 and Kα2). Structure: a cell relaxed with PBE.
Neutral-atom scattering factors, no anomalous dispersion.

Crystal structure
```
16
Lattice="6.369 0.000 0.000 -3.184 5.515 0.000 0.000 0.000 10.673" Properties=species:S:1:pos:R:3 pbc="T T T"
Na 0.000 0.000 0.000
Mg -1.581 2.764 0.000
Mg 0.000 1.854 2.673
Mg 0.000 1.854 8.000
Mg -1.579 4.589 2.673
Mg -1.579 4.589 8.000
Mg 1.581 2.764 0.000
Mg 0.000 5.502 0.000
Mg 3.184 0.007 5.337
Mg 1.598 2.754 5.337
Mg 1.579 4.589 2.673
Mg 1.579 4.589 8.000
Mg 3.184 1.838 2.644
Mg 3.184 1.838 8.029
Mg 4.770 2.754 5.337
Sn 0.000 0.000 5.337
```

Top 10 peaks for 2θ from 10° to 90°, low angle first:
two_theta, I (rel.)
16.07, 15.8
18.10, 27.5
32.47, 25.5
33.58, 34.2
36.68, 100.0
47.41, 17.3
57.92, 16.8
62.09, 20.6
68.64, 20.7
70.56, 17.6

What did the fifth record say?
This entry pairs a crystal structure of Be3P2H4O10 with its theoretical X-ray diffraction stick pattern. Radiation: Cu Kα (weighted mean of Kα1 and Kα2). Structure: a cell relaxed with PBE.
Neutral-atom scattering factors, no anomalous dispersion.

Crystal structure
```
38
Lattice="8.086 -2.312 0.000 8.086 2.312 0.000 -0.811 0.000 9.612" Properties=species:S:1:pos:R:3 pbc="T T T"
Be 7.477 1.441 7.209
Be 3.878 0.210 1.514
Be 3.472 -0.210 6.321
Be 11.889 0.210 3.292
Be 11.483 -0.210 8.098
Be 7.883 -1.441 2.403
P 2.196 0.195 3.794
P 1.790 -0.195 8.600
P 13.570 0.195 1.012
P 13.164 -0.195 5.818
H 5.874 0.804 8.692
H 6.763 0.450 2.993
H 9.081 0.804 5.727
H 9.003 0.450 1.813
H 6.357 -0.450 7.799
H 6.280 -0.804 3.885
H 8.598 -0.450 6.619
H 9.486 -0.804 0.921
O 0.407 0.090 7.999
O 0.813 -0.090 3.193
O 2.673 0.376 0.421
O 2.881 0.550 7.699
O 4.733 0.628 5.848
O 2.267 -0.376 5.227
O 3.287 -0.550 2.893
O 6.647 0.391 8.212
O 5.139 -0.628 1.042
O 8.308 0.391 6.206
O 7.052 -0.391 3.406
O 10.222 0.628 8.570
O 8.714 -0.391 1.400
O 12.073 0.550 6.720
O 13.093 0.376 4.385
O 10.627 -0.628 3.764
O 12.479 -0.550 1.913
O 12.687 -0.376 9.191
O 14.548 0.090 6.419
O 14.953 -0.090 1.613
```

Top 10 peaks for 2θ from 10° to 90°, low angle first:
two_theta, I (rel.)
10.98, 100.0
19.98, 47.7
20.71, 97.6
22.29, 37.0
25.42, 96.9
30.12, 72.9
30.74, 63.7
36.95, 30.0
38.96, 26.6
49.42, 24.6